Computed powder XRD pattern of BaTmTlSe3 for λ = 1.5418 Å (Cu Kα), from a GGA-PBE-relaxed structure.
Kinematic intensities with the Lorentz-polarization factor, no thermal factor.

Largest 10 diffraction maxima, low angle first, 2θ = 10–90°:
2θ 11.47, I = 26; 2θ 18.58, I = 17; 2θ 26.35, I = 15; 2θ 27.34, I = 100; 2θ 29.39, I = 51; 2θ 36.05, I = 19; 2θ 40.57, I = 64; 2θ 42.85, I = 18; 2θ 47.14, I = 33; 2θ 52.81, I = 20

Cell and atoms:
Cell lengths 4.221, 15.429, 12.157 Å; angles 90.00, 90.00, 90.00 degrees
Space group Cmcm (No. 63)
Asymmetric unit:
Ba (0.000, 0.167, 0.250) [4 per cell]
Tm (0.000, 0.500, 0.000) [4 per cell]
Tl (0.000, 0.130, 0.750) [4 per cell]
Se (0.000, 0.122, 0.001) [8 per cell]
Se (0.000, 0.494, 0.750) [4 per cell]


Computed powder XRD pattern of RbFeSeS for λ = 1.5418 Å (Cu Kα), from a GGA-PBE-relaxed structure.
Kinematic intensities with the Lorentz-polarization factor, no thermal factor.

Largest 10 diffraction maxima, low angle first, 2θ = 10–90°:
2θ 15.02, I = 67; 2θ 26.17, I = 64; 2θ 26.50, I = 71; 2θ 29.75, I = 100; 2θ 30.29, I = 23; 2θ 34.23, I = 34; 2θ 35.07, I = 20; 2θ 39.93, I = 51; 2θ 46.29, I = 35; 2θ 59.26, I = 21

Cell and atoms:
Cell lengths 7.313, 11.811, 5.513 Å; angles 90.00, 111.81, 90.00 degrees
Space group C2 (No. 5)
Asymmetric unit:
Rb (0.000, 0.000, 0.000) [2 per cell]
Rb (0.000, 0.290, 0.500) [2 per cell]
Fe (0.000, 0.637, 0.000) [2 per cell]
Fe (0.000, 0.640, 0.500) [2 per cell]
Se (0.197, 0.750, 0.848) [4 per cell]
S (0.184, 0.541, 0.343) [4 per cell]


Computed powder XRD pattern of LuFeSn2 for λ = 1.5418 Å (Cu Kα), from a GGA-PBE-relaxed structure.
Kinematic intensities with the Lorentz-polarization factor, no thermal factor.

Largest 10 diffraction maxima, low angle first, 2θ = 10–90°:
2θ 22.17, I = 7; 2θ 25.66, I = 7; 2θ 36.60, I = 100; 2θ 43.21, I = 4; 2θ 45.24, I = 2; 2θ 52.73, I = 18; 2θ 59.54, I = 3; 2θ 65.90, I = 36; 2θ 77.82, I = 12; 2θ 89.21, I = 17

Cell and atoms:
Cell lengths 6.943, 6.943, 6.943 Å; angles 90.00, 90.00, 90.00 degrees
Space group F-43m (No. 216)
Asymmetric unit:
Lu (0.000, 0.000, 0.000) [4 per cell]
Fe (0.250, 0.250, 0.250) [4 per cell]
Sn (0.000, 0.000, 0.500) [4 per cell]
Sn (0.250, 0.250, 0.750) [4 per cell]


Copy entry 1 word for word.
Computed powder XRD pattern of BaTmTlSe3 for λ = 1.5418 Å (Cu Kα), from a GGA-PBE-relaxed structure.
Kinematic intensities with the Lorentz-polarization factor, no thermal factor.

Largest 10 diffraction maxima, low angle first, 2θ = 10–90°:
2θ 11.47, I = 26; 2θ 18.58, I = 17; 2θ 26.35, I = 15; 2θ 27.34, I = 100; 2θ 29.39, I = 51; 2θ 36.05, I = 19; 2θ 40.57, I = 64; 2θ 42.85, I = 18; 2θ 47.14, I = 33; 2θ 52.81, I = 20

Cell and atoms:
Cell lengths 4.221, 15.429, 12.157 Å; angles 90.00, 90.00, 90.00 degrees
Space group Cmcm (No. 63)
Asymmetric unit:
Ba (0.000, 0.167, 0.250) [4 per cell]
Tm (0.000, 0.500, 0.000) [4 per cell]
Tl (0.000, 0.130, 0.750) [4 per cell]
Se (0.000, 0.122, 0.001) [8 per cell]
Se (0.000, 0.494, 0.750) [4 per cell]